# Cs2TiWO6
Simulated XRD peak list, Cu Kα. Input: a GGA+U-relaxed structure.
No peak broadening, texture or thermal motion is included.

Structural model:
Cell: 7.2810 7.2810 7.2810 Å, 136.50 136.50 63.22°
Fractional positions:
Cs  0.0000  0.5000  0.5000
Cs  0.5000  0.0000  0.5000
Ti  0.2546  0.2546  0.0000
W  0.7572  0.7572  0.0000
O  0.0409  0.0409  0.4904
O  0.0409  0.5506  0.0000
O  0.1165  0.1165  0.0000
O  0.5506  0.0409  0.0000
O  0.5506  0.5506  0.5096
O  0.6125  0.6125  0.0000

Top 8 peaks for 2θ from 5° to 70°, sorted by position:
- 2θ 17.93, rel. 21
- 2θ 27.44, rel. 100
- 2θ 28.80, rel. 23
- 2θ 33.20, rel. 27
- 2θ 44.51, rel. 21
- 2θ 47.66, rel. 16
- 2θ 50.20, rel. 20
- 2θ 55.88, rel. 27